Structure and computed X-ray diffraction stick pattern of RbDySiS4 (a crystal structure in Alexandria, relaxed with GGA-PBE; a wavelength of 1.5418 Å).

```
RbDySiS4
1.0
6.4078 0.0000 0.0000
0.0000 6.6666 0.0000
-2.7844 0.0000 8.6359
Rb Dy Si S
2 2 2 8
direct
0.2318 0.2500 0.4365 Rb
0.7682 0.7500 0.5635 Rb
0.2740 0.2500 0.9522 Dy
0.7260 0.7500 0.0478 Dy
0.2771 0.7500 0.1652 Si
0.7229 0.2500 0.8348 Si
0.0756 0.7500 0.9312 S
0.0825 0.7500 0.3154 S
0.5001 0.0013 0.7986 S
0.5001 0.4987 0.7986 S
0.4999 0.5013 0.2014 S
0.4999 0.9987 0.2014 S
0.9175 0.2500 0.6846 S
0.9244 0.2500 0.0688 S
```

Largest 8 diffraction maxima, sorted by position, 2θ = 10–80°:
2θ (°), d [Å], I/Imax
10.24, 8.636, 1000
19.73, 4.500, 902
25.14, 3.542, 348
26.74, 3.333, 511
31.81, 2.814, 582
33.17, 2.701, 389
33.98, 2.639, 385
40.08, 2.250, 389

***

Structure and computed X-ray diffraction stick pattern of Pm7Sb4Te4 (a crystal structure in Alexandria, relaxed with GGA-PBE; a wavelength of 1.5418 Å).

```
Pm7Sb4Te4
1.0
-7.7982 7.7982 4.0864
7.7982 -7.7982 4.0864
7.7982 7.7982 -4.0864
Pm Sb Te
14 8 8
direct
0.0000 0.2805 0.2805 Pm
0.0000 0.7195 0.7195 Pm
0.1384 0.5000 0.6384 Pm
0.2414 0.2414 0.0000 Pm
0.2805 0.0000 0.2805 Pm
0.2938 0.2938 0.5876 Pm
0.2938 0.7062 0.0000 Pm
0.5000 0.1384 0.6384 Pm
0.5000 0.8616 0.3616 Pm
0.7062 0.2938 0.0000 Pm
0.7062 0.7062 0.4124 Pm
0.7195 0.0000 0.7195 Pm
0.7586 0.7586 0.0000 Pm
0.8616 0.5000 0.3616 Pm
0.1019 0.6019 0.2037 Sb
0.1019 0.8981 0.5000 Sb
0.3981 0.6019 0.5000 Sb
0.3981 0.8981 0.7963 Sb
0.6019 0.1019 0.2037 Sb
0.6019 0.3981 0.5000 Sb
0.8981 0.1019 0.5000 Sb
0.8981 0.3981 0.7963 Sb
0.1218 0.1218 0.2435 Te
0.1218 0.8782 0.0000 Te
0.3354 0.5000 0.8354 Te
0.5000 0.3354 0.8354 Te
0.5000 0.6646 0.1646 Te
0.6646 0.5000 0.1646 Te
0.8782 0.1218 0.0000 Te
0.8782 0.8782 0.7565 Te
```

Largest 8 diffraction maxima, sorted by position, 2θ = 10–80°:
2θ (°), d [Å], I/Imax
28.36, 3.147, 519
30.68, 2.914, 1000
32.77, 2.733, 278
33.79, 2.653, 499
34.50, 2.599, 267
44.17, 2.051, 529
44.33, 2.043, 235
64.38, 1.447, 241

***

Structure and computed X-ray diffraction stick pattern of Rb2Hg2Pd (a crystal structure in Alexandria, relaxed with GGA-PBE; a wavelength of 1.5418 Å).

```
Rb2Hg2Pd
1.0
-3.7994 7.6088 3.4042
3.7994 -7.6088 3.4042
3.7994 7.6088 -3.4042
Rb Hg Pd
4 4 2
direct
0.1447 0.2052 0.3499 Rb
0.3553 0.7052 0.0605 Rb
0.6447 0.2948 0.9395 Rb
0.8553 0.7948 0.6501 Rb
0.1060 0.7057 0.8116 Hg
0.3940 0.2057 0.5997 Hg
0.6060 0.7943 0.4003 Hg
0.8940 0.2943 0.1884 Hg
0.2500 0.7500 0.5000 Pd
0.7500 0.2500 0.5000 Pd
```

Largest 8 diffraction maxima, sorted by position, 2θ = 10–80°:
2θ (°), d [Å], I/Imax
11.63, 7.609, 245
13.02, 6.798, 409
21.05, 4.220, 488
23.40, 3.802, 583
26.18, 3.404, 332
29.35, 3.043, 305
33.33, 2.688, 465
35.39, 2.536, 1000

***

Structure and computed X-ray diffraction stick pattern of Ga4SnPb (a crystal structure in Alexandria, relaxed with GGA-PBE; a wavelength of 1.5418 Å).

```
Ga4SnPb
1.0
4.4921 0.0000 0.0000
-2.2461 3.8903 0.0000
0.0000 0.0000 8.0387
Ga Sn Pb
4 1 1
direct
0.3333 0.6667 0.2381 Ga
0.3333 0.6667 0.7619 Ga
0.6667 0.3333 0.2381 Ga
0.6667 0.3333 0.7619 Ga
0.0000 0.0000 0.0000 Sn
0.0000 0.0000 0.5000 Pb
```

Largest 8 diffraction maxima, sorted by position, 2θ = 10–80°:
2θ (°), d [Å], I/Imax
22.86, 3.890, 161
32.02, 2.795, 1000
40.15, 2.246, 470
45.11, 2.010, 108
52.25, 1.751, 255
61.96, 1.498, 250
67.87, 1.381, 234
74.97, 1.267, 84

***

Structure and computed X-ray diffraction stick pattern of AgOsBr2O (a crystal structure in Alexandria, relaxed with GGA-PBE; a wavelength of 1.5418 Å).

```
AgOsBr2O
1.0
5.4326 0.0000 0.0000
0.0000 5.4326 0.0000
0.0000 0.0000 3.8991
Ag Os Br O
1 1 2 1
direct
0.0000 0.0000 0.0000 Ag
0.5000 0.5000 0.5000 Os
0.0000 0.5000 0.0000 Br
0.5000 0.0000 0.0000 Br
0.0000 0.0000 0.5000 O
```

Largest 8 diffraction maxima, sorted by position, 2θ = 10–80°:
2θ (°), d [Å], I/Imax
23.15, 3.841, 232
28.17, 3.168, 1000
32.73, 2.736, 554
32.98, 2.716, 968
43.91, 2.062, 609
47.33, 1.921, 345
58.25, 1.584, 366
68.59, 1.368, 222

***

Structure and computed X-ray diffraction stick pattern of Na2CdCuCl5 (a crystal structure in Alexandria, relaxed with GGA-PBE; a wavelength of 1.5418 Å).

```
Na2CdCuCl5
1.0
1.9459 -8.4937 0.0000
1.9459 8.4937 0.0000
0.0000 0.0000 12.8602
Na Cd Cu Cl
4 2 2 10
direct
0.0823 0.9177 0.5000 Na
0.1275 0.8725 0.1718 Na
0.8725 0.1275 0.6718 Na
0.9177 0.0823 0.0000 Na
0.2169 0.7831 0.8742 Cd
0.7831 0.2169 0.3742 Cd
0.4538 0.5462 0.2721 Cu
0.5462 0.4538 0.7721 Cu
0.0578 0.9422 0.8673 Cl
0.2789 0.7211 0.5164 Cl
0.2939 0.7061 0.2331 Cl
0.3703 0.6297 0.8516 Cl
0.4942 0.5058 0.6118 Cl
0.5058 0.4942 0.1118 Cl
0.6297 0.3703 0.3516 Cl
0.7061 0.2939 0.7331 Cl
0.7211 0.2789 0.0164 Cl
0.9422 0.0578 0.3673 Cl
```

Largest 8 diffraction maxima, sorted by position, 2θ = 10–80°:
2θ (°), d [Å], I/Imax
12.49, 7.087, 318
13.77, 6.430, 692
17.30, 5.127, 332
31.49, 2.841, 1000
32.38, 2.765, 650
37.83, 2.378, 294
46.68, 1.946, 224
52.79, 1.734, 258

***

Structure and computed X-ray diffraction stick pattern of Pm7Sm4Y (a crystal structure in Alexandria, relaxed with GGA-PBE; a wavelength of 1.5418 Å).

```
Pm7Sm4Y
1.0
6.3480 0.0000 0.0000
0.0004 7.3320 0.0000
2.1164 0.0046 8.8102
Pm Sm Y
7 4 1
direct
0.0000 0.0000 0.0000 Pm
0.2224 0.5000 0.3334 Pm
0.2782 0.2496 0.6677 Pm
0.5001 0.2496 0.0001 Pm
0.4999 0.7504 0.9999 Pm
0.7218 0.7504 0.3323 Pm
0.7776 0.5000 0.6666 Pm
0.2220 0.0000 0.3327 Sm
0.2781 0.7501 0.6681 Sm
0.7219 0.2499 0.3319 Sm
0.7780 0.0000 0.6673 Sm
0.0000 0.5000 0.0000 Y
```

Largest 8 diffraction maxima, sorted by position, 2θ = 10–80°:
2θ (°), d [Å], I/Imax
28.32, 3.152, 336
28.93, 3.087, 199
30.44, 2.937, 506
31.26, 2.861, 1000
32.91, 2.721, 862
49.75, 1.833, 386
53.52, 1.712, 223
59.45, 1.555, 452

***

Structure and computed X-ray diffraction stick pattern of CsCa2InCl8 (a crystal structure in Alexandria, relaxed with GGA-PBE; a wavelength of 1.5418 Å).

```
CsCa2InCl8
1.0
6.4084 0.0000 0.0000
0.1529 6.5622 0.0000
0.0256 0.0168 8.9008
Cs Ca In Cl
1 2 1 8
direct
0.0000 0.0000 0.0000 Cs
0.4996 0.5000 0.2520 Ca
0.5004 0.5000 0.7480 Ca
0.0000 0.0000 0.5000 In
0.2369 0.8365 0.6952 Cl
0.2387 0.8384 0.3044 Cl
0.2546 0.3216 0.5003 Cl
0.2697 0.4122 0.0005 Cl
0.7303 0.5878 0.9995 Cl
0.7454 0.6784 0.4997 Cl
0.7613 0.1616 0.6956 Cl
0.7631 0.1635 0.3048 Cl
```

Largest 8 diffraction maxima, sorted by position, 2θ = 10–80°:
2θ (°), d [Å], I/Imax
13.82, 6.407, 368
19.13, 4.638, 1000
19.59, 4.532, 737
24.35, 3.655, 793
28.10, 3.175, 760
30.32, 2.948, 379
37.03, 2.428, 562
37.45, 2.402, 592